Entry 1:
Theoretical powder diffraction line list
Compound: Pa4Si5Ni2
Radiation: Cu Ka
Structure: a crystal structure in Alexandria, relaxed with GGA-PBE

Structure:
```
11
Lattice="6.738 0.000 0.000 0.000 3.996 0.000 -0.056 0.000 7.783" Properties=species:S:1:pos:R:3 pbc="T T T"
Pa 1.562 0.000 1.045
Pa 1.607 0.000 4.781
Pa 5.074 0.000 3.002
Pa 5.120 0.000 6.738
Si 0.702 1.998 6.824
Si 2.908 1.998 2.760
Si 3.369 1.998 0.000
Si 3.773 1.998 5.023
Si 5.979 1.998 0.959
Ni 0.578 1.998 2.861
Ni 6.103 1.998 4.922
```

Most intense lines, 2θ from 10° to 90°, most intense first:
two_theta  I_rel
34.8  100
26.4  52
34.9  46
26.5  29
22.2  27
53.3  25

***

Entry 2:
Theoretical powder diffraction line list
Compound: Pa2Zn2Si4Ni
Radiation: Cu Ka
Structure: a crystal structure in Alexandria, relaxed with GGA-PBE

Structure:
```
9
Lattice="-3.012 3.012 4.177 3.012 -3.012 4.177 3.012 3.012 -4.177" Properties=species:S:1:pos:R:3 pbc="T T T"
Pa 3.012 0.000 2.088
Pa 0.000 3.012 2.088
Zn 0.000 0.000 1.760
Zn 0.000 0.000 6.593
Si 1.358 1.358 0.000
Si 1.653 -1.653 4.177
Si -1.653 1.653 4.177
Si 1.653 1.653 4.177
Ni 0.000 0.000 4.177
```

Most intense lines, 2θ from 10° to 90°, most intense first:
two_theta  I_rel
36.8  100
29.7  69
30.0  68
42.4  51
21.3  38
20.9  29

***

Entry 3:
Theoretical powder diffraction line list
Compound: Pa2Ni6Sn
Radiation: Cu Ka
Structure: a crystal structure in Alexandria, relaxed with GGA-PBE

Structure:
```
9
Lattice="-1.692 3.251 6.748 1.692 -3.251 6.748 1.692 3.251 -6.748" Properties=species:S:1:pos:R:3 pbc="T T T"
Pa 0.000 0.000 1.846
Pa 0.000 0.000 11.650
Ni 1.692 1.998 -2.434
Ni 1.692 1.242 0.000
Ni 1.692 1.998 2.434
Ni 0.000 1.253 4.314
Ni 0.000 2.009 6.748
Ni 0.000 1.253 9.181
Sn 0.000 3.251 0.000
```

Most intense lines, 2θ from 10° to 90°, most intense first:
two_theta  I_rel
39.0  100
40.2  99
24.1  64
46.5  60
15.1  46
29.8  40

***

Entry 4:
Theoretical powder diffraction line list
Compound: SrPaNi
Radiation: Cu Ka
Structure: a crystal structure in Alexandria, relaxed with GGA-PBE

Structure:
```
6
Lattice="12.959 0.000 0.000 0.000 2.455 2.454 0.000 -2.455 2.454" Properties=species:S:1:pos:R:3 pbc="T T T"
Sr 1.837 0.000 0.000
Sr 11.122 0.000 0.000
Pa 5.038 0.000 2.461
Pa 7.920 0.000 2.461
Ni 0.000 0.000 2.453
Ni 6.479 0.000 0.008
```

Most intense lines, 2θ from 10° to 90°, most intense first:
two_theta  I_rel
33.1  100
36.6  83
26.6  69
43.6  64
46.4  31
27.5  31

***

Entry 5:
Theoretical powder diffraction line list
Compound: Pa4Tc2Ni
Radiation: Cu Ka
Structure: a crystal structure in Alexandria, relaxed with GGA-PBE

Structure:
```
7
Lattice="6.605 -1.810 0.000 6.605 1.810 0.000 -2.765 0.000 6.281" Properties=species:S:1:pos:R:3 pbc="T T T"
Pa 0.585 0.000 1.378
Pa 4.330 0.000 1.164
Pa 6.116 0.000 5.118
Pa 9.860 0.000 4.903
Tc 1.362 0.000 4.302
Tc 9.083 0.000 1.980
Ni -1.383 0.000 3.141
```

Most intense lines, 2θ from 10° to 90°, most intense first:
two_theta  I_rel
32.5  100
28.4  51
39.8  41
47.3  34
42.4  30
30.9  29

***

Entry 6:
Theoretical powder diffraction line list
Compound: PaNiTe3
Radiation: Cu Ka
Structure: a crystal structure in Alexandria, relaxed with GGA-PBE

Structure:
```
10
Lattice="5.930 0.000 0.000 0.000 4.360 0.000 0.000 0.000 10.448" Properties=species:S:1:pos:R:3 pbc="T T T"
Pa 1.483 0.000 1.854
Pa 4.448 0.000 8.595
Ni 1.483 2.180 6.527
Ni 4.448 2.180 3.921
Te 0.000 2.180 0.000
Te 1.483 0.000 7.687
Te 1.483 2.180 4.011
Te 2.965 2.180 0.000
Te 4.448 0.000 2.762
Te 4.448 2.180 6.437
```

Most intense lines, 2θ from 10° to 90°, most intense first:
two_theta  I_rel
26.6  100
37.7  84
32.9  67
30.7  58
34.8  43
41.4  43

***

Entry 7:
Theoretical powder diffraction line list
Compound: Pa2NiTe4
Radiation: Cu Ka
Structure: a crystal structure in Alexandria, relaxed with GGA-PBE

Structure:
```
14
Lattice="7.295 0.000 0.000 0.000 6.423 0.000 -2.429 0.000 7.963" Properties=species:S:1:pos:R:3 pbc="T T T"
Pa 0.624 1.606 3.515
Pa -0.346 1.606 7.423
Pa 5.212 4.817 0.541
Pa 4.242 4.817 4.449
Ni 0.047 4.817 5.470
Ni 4.819 1.606 2.493
Te -1.647 4.817 7.261
Te -0.290 4.817 3.019
Te 2.952 3.225 2.016
Te 2.952 6.410 2.016
Te 1.914 0.014 5.947
Te 1.914 3.198 5.947
Te 5.156 1.606 4.945
Te 6.514 1.606 0.702
```

Most intense lines, 2θ from 10° to 90°, most intense first:
two_theta  I_rel
35.9  100
28.9  64
28.7  61
41.3  58
32.1  56
32.0  53

***

Entry 8:
Theoretical powder diffraction line list
Compound: Pa2TiNi9
Radiation: Cu Ka
Structure: a crystal structure in Alexandria, relaxed with GGA-PBE

Structure:
```
12
Lattice="2.413 1.393 8.165 -2.413 1.393 8.165 0.000 -2.787 8.165" Properties=species:S:1:pos:R:3 pbc="T T T"
Pa 0.000 0.000 3.317
Pa 0.000 0.000 21.177
Ti 0.000 0.000 0.000
Ni -1.208 -0.697 10.167
Ni 0.000 0.000 8.155
Ni 0.000 -1.395 14.327
Ni -1.208 0.697 14.327
Ni 0.000 0.000 12.247
Ni 1.208 -0.697 10.167
Ni 0.000 1.395 10.167
Ni 0.000 0.000 16.339
Ni 1.208 0.697 14.327
```

Most intense lines, 2θ from 10° to 90°, most intense first:
two_theta  I_rel
43.6  100
10.8  92
37.3  84
33.4  76
36.4  73
25.8  71

***

Entry 9:
Theoretical powder diffraction line list
Compound: Pa6TlNi6
Radiation: Cu Ka
Structure: a crystal structure in Alexandria, relaxed with GGA-PBE

Structure:
```
13
Lattice="-2.654 4.661 4.974 2.654 -4.661 4.974 2.654 4.661 -4.974" Properties=species:S:1:pos:R:3 pbc="T T T"
Pa 2.654 1.485 0.000
Pa 0.000 0.000 1.697
Pa 0.000 2.971 0.000
Pa 0.000 6.352 0.000
Pa 0.000 0.000 8.251
Pa 0.000 3.176 4.974
Tl 0.000 0.000 4.974
Ni 1.327 2.331 -2.487
Ni 1.327 -2.331 2.487
Ni 2.654 0.000 2.568
Ni -1.327 2.331 2.487
Ni 1.327 2.331 2.487
Ni 0.000 4.661 2.407
```

Most intense lines, 2θ from 10° to 90°, most intense first:
two_theta  I_rel
33.4  100
38.1  67
33.8  50
37.3  46
43.2  42
66.3  40

***

Entry 10:
Theoretical powder diffraction line list
Compound: TmPaNi
Radiation: Cu Ka
Structure: a crystal structure in Alexandria, relaxed with GGA-PBE

Structure:
```
6
Lattice="4.494 0.000 0.000 0.000 4.244 0.000 -0.064 0.000 7.089" Properties=species:S:1:pos:R:3 pbc="T T T"
Tm 1.072 0.000 0.840
Tm 3.358 2.122 6.249
Pa 1.286 2.119 3.608
Pa 3.144 4.241 3.481
Ni 0.704 4.239 5.233
Ni 3.726 2.117 1.856
```

Most intense lines, 2θ from 10° to 90°, most intense first:
two_theta  I_rel
31.6  100
31.7  70
12.5  36
42.6  35
38.6  35
60.0  33

***

Entry 11:
Theoretical powder diffraction line list
Compound: UPaNi
Radiation: Cu Ka
Structure: a crystal structure in Alexandria, relaxed with GGA-PBE

Structure:
```
6
Lattice="3.397 0.000 0.000 -0.552 6.023 0.000 -1.194 -3.004 5.827" Properties=species:S:1:pos:R:3 pbc="T T T"
U -0.431 0.364 2.713
U 2.081 2.655 3.114
Pa 0.693 1.409 0.474
Pa 0.957 1.610 5.354
Ni 0.515 4.367 1.633
Ni 1.135 -1.348 4.194
```

Most intense lines, 2θ from 10° to 90°, most intense first:
two_theta  I_rel
33.5  100
41.6  59
35.6  56
34.5  55
34.7  51
16.6  39

***

Entry 12:
Theoretical powder diffraction line list
Compound: PaVNi3
Radiation: Cu Ka
Structure: a crystal structure in Alexandria, relaxed with GGA-PBE

Structure:
```
10
Lattice="6.031 0.000 0.000 -3.015 5.223 0.000 0.000 0.000 4.855" Properties=species:S:1:pos:R:3 pbc="T T T"
Pa 0.000 3.482 1.214
Pa 3.015 1.741 3.641
V 0.000 0.000 0.000
V 0.000 0.000 2.428
Ni 0.000 2.094 3.641
Ni -1.202 4.175 3.641
Ni 1.814 1.047 1.214
Ni 1.202 4.175 3.641
Ni 4.217 1.047 1.214
Ni 3.015 3.128 1.214
```

Most intense lines, 2θ from 10° to 90°, most intense first:
two_theta  I_rel
39.2  100
29.6  53
49.9  35
25.0  33
51.4  25
41.0  24